No. 1
Starting from DFT lattice parameters and positions (GGA-PBE), the XRD peak list of Mg4Si3 was simulated for Cu Kα, 1.54184 Å.

Structure:
abc: 6.589 7.223 12.245
angles: 96.12 90.77 106.52
Fractional coordinates of all 28 atoms:
Mg1 0.000 0.000 0.000
Mg2 0.003 0.621 0.295
Mg3 0.065 0.715 0.787
Mg4 0.196 0.223 0.787
Mg5 0.199 0.616 0.032
Mg6 0.226 0.705 0.538
Mg7 0.273 0.243 0.522
Mg8 0.453 0.977 0.936
Mg9 0.508 0.682 0.306
Mg10 0.549 0.611 0.843
Mg11 0.595 0.276 0.305
Mg12 0.656 0.040 0.511
Mg13 0.706 0.599 0.530
Mg14 0.729 0.609 0.092
Mg15 0.806 0.331 0.898
Mg16 0.954 0.047 0.303
Si1 0.273 0.332 0.168
Si2 0.289 0.966 0.174
Si3 0.297 0.946 0.373
Si4 0.402 0.331 0.984
Si5 0.453 0.966 0.708
Si6 0.583 0.322 0.687
Si7 0.647 0.957 0.133
Si8 0.794 0.960 0.795
Si9 0.894 0.305 0.131
Si10 0.950 0.367 0.645
Si11 0.957 0.364 0.444
Si12 0.969 0.953 0.622

Main lines, by angle (10 to 90 degrees two-theta):
2θ 32.55, intensity 44
2θ 34.70, intensity 49
2θ 35.08, intensity 35
2θ 35.27, intensity 62
2θ 36.52, intensity 100
2θ 37.14, intensity 33
2θ 37.83, intensity 41
2θ 39.29, intensity 90
2θ 40.35, intensity 33
2θ 41.87, intensity 39

---

No. 2
Starting from DFT lattice parameters and positions (GGA-PBE), the XRD peak list of Mg4Si7 was simulated for Cu Kα, 1.54184 Å.

Structure:
abc: 6.480 3.902 15.536
angles: 90.00 99.59 90.00
Fractional coordinates of all 22 atoms:
Mg1 0.000 0.000 0.000
Mg2 0.014 0.000 0.774
Mg3 0.207 0.500 0.289
Mg4 0.320 0.000 0.612
Mg5 0.555 0.000 0.843
Mg6 0.662 0.500 0.688
Mg7 0.719 0.500 0.348
Mg8 0.791 0.000 0.537
Si1 0.030 0.500 0.637
Si2 0.032 0.000 0.382
Si3 0.091 0.500 0.485
Si4 0.242 0.500 0.911
Si5 0.309 0.500 0.758
Si6 0.319 0.500 0.121
Si7 0.426 0.000 0.015
Si8 0.442 0.000 0.389
Si9 0.472 0.500 0.496
Si10 0.475 0.000 0.219
Si11 0.672 0.500 0.999
Si12 0.857 0.000 0.217
Si13 0.858 0.500 0.875
Si14 0.938 0.500 0.132

Main lines, by angle (10 to 90 degrees two-theta):
2θ 33.37, intensity 49
2θ 35.59, intensity 27
2θ 36.34, intensity 33
2θ 36.74, intensity 26
2θ 37.31, intensity 100
2θ 37.60, intensity 34
2θ 38.15, intensity 36
2θ 38.36, intensity 50
2θ 39.73, intensity 30
2θ 46.55, intensity 71

---

No. 3
Starting from DFT lattice parameters and positions (GGA-PBE), the XRD peak list of Mg3Si4 was simulated for Cu Kα, 1.54184 Å.

Structure:
abc: 4.233 8.191 8.407
angles: 65.91 89.48 75.85
Fractional coordinates of all 14 atoms:
Mg1 0.000 0.000 0.000
Mg2 0.033 0.953 0.637
Mg3 0.147 0.724 0.407
Mg4 0.220 0.570 0.097
Mg5 0.805 0.399 0.555
Mg6 0.875 0.241 0.242
Si1 0.358 0.284 0.953
Si2 0.372 0.242 0.439
Si3 0.435 0.144 0.746
Si4 0.481 0.019 0.245
Si5 0.607 0.794 0.881
Si6 0.644 0.730 0.608
Si7 0.648 0.729 0.199
Si8 0.771 0.467 0.895

Main lines, by angle (10 to 90 degrees two-theta):
2θ 33.04, intensity 29
2θ 33.77, intensity 45
2θ 36.77, intensity 82
2θ 37.04, intensity 76
2θ 37.37, intensity 27
2θ 38.10, intensity 24
2θ 39.28, intensity 68
2θ 39.77, intensity 43
2θ 42.73, intensity 100
2θ 43.95, intensity 18

---

No. 4
Starting from DFT lattice parameters and positions (GGA-PBE), the XRD peak list of Mg4Si7 was simulated for Cu Kα, 1.54184 Å.

Structure:
abc: 4.314 6.848 13.638
angles: 85.56 89.77 89.07
Fractional coordinates of all 22 atoms:
Mg1 0.000 0.000 0.000
Mg2 0.000 0.148 0.534
Mg3 0.034 0.509 0.925
Mg4 0.039 0.684 0.681
Mg5 0.511 0.960 0.187
Mg6 0.514 0.833 0.850
Mg7 0.521 0.515 0.266
Mg8 0.993 0.155 0.767
Si1 0.012 0.782 0.301
Si2 0.014 0.128 0.308
Si3 0.022 0.668 0.138
Si4 0.027 0.650 0.470
Si5 0.028 0.306 0.149
Si6 0.453 0.324 0.640
Si7 0.493 0.203 0.902
Si8 0.510 0.160 0.392
Si9 0.516 0.858 0.497
Si10 0.520 0.681 0.041
Si11 0.526 0.970 0.659
Si12 0.529 0.321 0.062
Si13 0.536 0.455 0.476
Si14 0.556 0.479 0.785

Main lines, by angle (10 to 90 degrees two-theta):
2θ 33.46, intensity 31
2θ 33.74, intensity 27
2θ 34.02, intensity 38
2θ 35.17, intensity 42
2θ 35.53, intensity 41
2θ 36.81, intensity 36
2θ 37.01, intensity 49
2θ 40.83, intensity 26
2θ 41.89, intensity 100
2θ 42.87, intensity 26

---

No. 5
Starting from DFT lattice parameters and positions (GGA-PBE), the XRD peak list of Mg4Si7 was simulated for Cu Kα, 1.54184 Å.

Structure:
abc: 3.956 6.885 14.472
angles: 93.48 96.49 90.31
Fractional coordinates of all 22 atoms:
Mg1 0.000 0.000 0.000
Mg2 0.036 0.513 0.075
Mg3 0.470 0.675 0.925
Mg4 0.599 0.528 0.249
Mg5 0.679 0.012 0.367
Mg6 0.813 0.425 0.610
Mg7 0.884 0.824 0.763
Mg8 0.929 0.337 0.838
Si1 0.094 0.216 0.232
Si2 0.102 0.846 0.228
Si3 0.162 0.695 0.378
Si4 0.254 0.210 0.491
Si5 0.297 0.743 0.617
Si6 0.380 0.522 0.741
Si7 0.385 0.154 0.697
Si8 0.433 0.038 0.857
Si9 0.493 0.299 0.976
Si10 0.558 0.175 0.128
Si11 0.564 0.812 0.118
Si12 0.694 0.724 0.495
Si13 0.816 0.404 0.415
Si14 0.873 0.034 0.587

Main lines, by angle (10 to 90 degrees two-theta):
2θ 34.31, intensity 68
2θ 34.90, intensity 100
2θ 35.64, intensity 29
2θ 36.61, intensity 34
2θ 37.49, intensity 77
2θ 38.38, intensity 72
2θ 38.59, intensity 33
2θ 38.92, intensity 30
2θ 40.60, intensity 43
2θ 45.89, intensity 93

---

No. 6
Starting from DFT lattice parameters and positions (GGA-PBE), the XRD peak list of Mg5Si6 was simulated for Cu Kα, 1.54184 Å.

Structure:
abc: 5.016 8.371 11.014
angles: 69.74 82.04 82.97
Fractional coordinates of all 22 atoms:
Mg1 0.000 0.000 0.000
Mg2 0.003 0.574 0.512
Mg3 0.227 0.687 0.914
Mg4 0.331 0.399 0.177
Mg5 0.441 0.677 0.652
Mg6 0.518 0.767 0.156
Mg7 0.656 0.979 0.393
Mg8 0.808 0.384 0.348
Mg9 0.910 0.161 0.676
Mg10 0.949 0.442 0.841
Si1 0.156 0.000 0.282
Si2 0.165 0.976 0.508
Si3 0.296 0.269 0.442
Si4 0.351 0.183 0.785
Si5 0.455 0.363 0.899
Si6 0.484 0.115 0.093
Si7 0.485 0.392 0.580
Si8 0.615 0.908 0.867
Si9 0.831 0.516 0.079
Si10 0.865 0.215 0.145
Si11 0.893 0.799 0.697
Si12 0.992 0.751 0.259

Main lines, by angle (10 to 90 degrees two-theta):
2θ 30.17, intensity 34
2θ 31.86, intensity 35
2θ 32.88, intensity 38
2θ 33.09, intensity 37
2θ 34.76, intensity 29
2θ 37.70, intensity 54
2θ 37.88, intensity 32
2θ 39.06, intensity 35
2θ 39.91, intensity 100
2θ 46.03, intensity 29